Record 1
CoPH6NO5: calculated powder XRD pattern (Cu Kα (weighted mean of Kα1 and Kα2)), based on the GGA+U geometry in OQMD.
Lines closer than 0.1° are merged.

Largest 10 diffraction maxima, by angle, 2θ from 10° to 90°:
two_theta	d [Å]	I_rel
10.2	8.660	100
19.0	4.676	8
21.4	4.145	14
26.8	3.322	15
32.2	2.778	17
32.4	2.767	43
40.0	2.251	11
43.2	2.095	6
51.9	1.761	6
57.5	1.602	6

Structure:
abc: 5.556 8.660 4.720
angles: 90.00 90.00 90.00
Fractional coordinates of all 28 atoms:
Co 0.000 0.027 0.000
Co 0.500 0.973 0.500
P 0.000 0.804 0.575
P 0.500 0.196 0.075
H 0.000 0.538 0.322
H 0.000 0.545 0.954
H 0.141 0.194 0.572
H 0.154 0.406 0.129
H 0.346 0.594 0.629
H 0.359 0.806 0.072
H 0.500 0.455 0.454
H 0.500 0.462 0.822
H 0.641 0.806 0.072
H 0.654 0.594 0.629
H 0.846 0.406 0.129
H 0.859 0.194 0.572
N 0.000 0.473 0.134
N 0.500 0.527 0.634
O 0.000 0.209 0.697
O 0.000 0.628 0.633
O 0.000 0.832 0.256
O 0.223 0.880 0.726
O 0.277 0.120 0.226
O 0.500 0.168 0.756
O 0.500 0.372 0.133
O 0.500 0.791 0.197
O 0.723 0.120 0.226
O 0.777 0.880 0.726

Record 2
CoPH6NO5: calculated powder XRD pattern (Cu Kα (weighted mean of Kα1 and Kα2)), based on the GGA+U geometry in OQMD.
Lines closer than 0.1° are merged.

Largest 10 diffraction maxima, by angle, 2θ from 10° to 90°:
two_theta	d [Å]	I_rel
10.2	8.641	100
19.0	4.674	8
21.4	4.145	11
25.3	3.524	9
29.3	3.052	14
32.2	2.778	17
32.4	2.765	30
36.0	2.493	11
40.8	2.211	6
51.0	1.790	7

Structure:
abc: 17.283 5.557 4.724
angles: 90.00 90.00 90.00
Fractional coordinates of all 56 atoms:
Co 0.237 0.250 0.111
Co 0.263 0.750 0.611
Co 0.737 0.250 0.389
Co 0.763 0.750 0.889
P 0.152 0.750 0.185
P 0.348 0.250 0.685
P 0.652 0.750 0.315
P 0.848 0.250 0.815
H 0.019 0.750 0.929
H 0.022 0.750 0.562
H 0.048 0.096 0.259
H 0.048 0.404 0.259
H 0.152 0.108 0.688
H 0.152 0.392 0.688
H 0.348 0.608 0.188
H 0.348 0.892 0.188
H 0.452 0.596 0.759
H 0.452 0.904 0.759
H 0.478 0.250 0.062
H 0.481 0.250 0.429
H 0.519 0.750 0.571
H 0.522 0.750 0.938
H 0.548 0.096 0.241
H 0.548 0.404 0.241
H 0.652 0.108 0.812
H 0.652 0.392 0.812
H 0.848 0.608 0.312
H 0.848 0.892 0.312
H 0.952 0.596 0.741
H 0.952 0.904 0.741
H 0.978 0.250 0.438
H 0.981 0.250 0.071
N 0.014 0.250 0.258
N 0.486 0.750 0.758
N 0.514 0.250 0.242
N 0.986 0.750 0.742
O 0.064 0.750 0.243
O 0.144 0.250 0.812
O 0.166 0.750 0.866
O 0.190 0.528 0.336
O 0.190 0.972 0.336
O 0.310 0.028 0.836
O 0.310 0.472 0.836
O 0.334 0.250 0.366
O 0.356 0.750 0.312
O 0.436 0.250 0.743
O 0.564 0.750 0.257
O 0.644 0.250 0.688
O 0.666 0.750 0.634
O 0.690 0.528 0.164
O 0.690 0.972 0.164
O 0.810 0.028 0.664
O 0.810 0.472 0.664
O 0.834 0.250 0.134
O 0.856 0.750 0.188
O 0.936 0.250 0.757

Record 3
CoH4SN2O4: calculated powder XRD pattern (Cu Kα (weighted mean of Kα1 and Kα2)), based on the GGA+U geometry in OQMD.
Lines closer than 0.1° are merged.

Largest 10 diffraction maxima, by angle, 2θ from 10° to 90°:
two_theta	d [Å]	I_rel
18.6	4.778	22
21.2	4.199	100
27.6	3.236	43
31.3	2.860	37
35.5	2.529	25
35.9	2.499	16
37.5	2.397	16
40.1	2.249	14
50.1	1.822	12
56.9	1.618	20

Structure:
abc: 6.182 7.531 8.796
angles: 90.00 90.00 90.00
Fractional coordinates of all 48 atoms:
Co 0.000 0.000 0.000
Co 0.000 0.500 0.500
Co 0.500 0.000 0.500
Co 0.500 0.500 0.000
H 0.112 0.129 0.498
H 0.112 0.371 0.998
H 0.186 0.118 0.318
H 0.186 0.382 0.818
H 0.314 0.118 0.818
H 0.314 0.382 0.318
H 0.388 0.129 0.998
H 0.388 0.371 0.498
H 0.612 0.629 0.502
H 0.612 0.871 0.002
H 0.686 0.618 0.682
H 0.686 0.882 0.182
H 0.814 0.618 0.182
H 0.814 0.882 0.682
H 0.888 0.629 0.002
H 0.888 0.871 0.502
S 0.250 0.750 0.258
S 0.250 0.750 0.758
S 0.750 0.250 0.242
S 0.750 0.250 0.742
N 0.238 0.154 0.425
N 0.238 0.346 0.925
N 0.262 0.154 0.925
N 0.262 0.346 0.425
N 0.738 0.654 0.575
N 0.738 0.846 0.075
N 0.762 0.654 0.075
N 0.762 0.846 0.575
O 0.054 0.726 0.354
O 0.054 0.774 0.854
O 0.223 0.589 0.663
O 0.223 0.911 0.163
O 0.277 0.589 0.163
O 0.277 0.911 0.663
O 0.446 0.726 0.854
O 0.446 0.774 0.354
O 0.554 0.226 0.646
O 0.554 0.274 0.146
O 0.723 0.089 0.337
O 0.723 0.411 0.837
O 0.777 0.089 0.837
O 0.777 0.411 0.337
O 0.946 0.226 0.146
O 0.946 0.274 0.646